Structure and simulated powder diffractogram of NdPbO4 (the PBE geometry in Alexandria; Cu Kα, 1.54184 Å).

Main lines, by angle (2θ = 5–70°):
two_theta	I (rel.)	hkl
17.7	5	1 0 1
28.0	100	1 1 2
30.1	1	1 0 3
31.3	24	2 0 0
34.4	10	0 0 4
36.2	1	2 1 1
44.0	1	2 1 3
44.9	19	2 2 0
47.2	33	2 0 4
53.7	33	3 1 2
57.8	23	1 1 6
65.3	6	4 0 0

Crystal structure
a = 5.713 Å, b = 5.713 Å, c = 10.414 Å
α = 90.00°, β = 90.00°, γ = 90.00°
Space group I4_1/amd (No. 141, origin choice 2)
Asymmetric unit:
Nd 0.000 0.250 0.375 [4 per cell]
Pb 0.000 0.250 0.875 [4 per cell]
O 0.235 0.000 0.000 [16 per cell]